For FeCu3F, DFT lattice parameters and positions (PBE+U) gives the simulated X-ray powder pattern in this record (λ = 1.5418 Å (Cu Kα)).
No peak broadening, texture or thermal motion is included.

Most intense lines, 10° ≤ 2θ ≤ 90°, sorted by position:
21.5 deg, d = 4.126 Å, rel. 4.8; 37.8 deg, d = 2.382 Å, rel. 100.0; 43.9 deg, d = 2.063 Å, rel. 64.1; 49.4 deg, d = 1.845 Å, rel. 1.8; 63.8 deg, d = 1.459 Å, rel. 37.8; 68.2 deg, d = 1.375 Å, rel. 0.7; 76.6 deg, d = 1.244 Å, rel. 33.2; 80.7 deg, d = 1.191 Å, rel. 12.0

Structural model:
Cell lengths 4.126, 4.126, 4.126 Å; angles 90.00, 90.00, 90.00 degrees
Fractional coordinates of all 5 atoms:
Fe1 0.000 0.000 0.000
Cu1 0.000 0.500 0.500
Cu2 0.500 0.000 0.500
Cu3 0.500 0.500 0.000
F1 0.500 0.500 0.500

For FeCuF5, DFT lattice parameters and positions (PBE+U) gives the simulated X-ray powder pattern in this record (λ = 1.5418 Å (Cu Kα)).
No peak broadening, texture or thermal motion is included.

Most intense lines, 10° ≤ 2θ ≤ 90°, sorted by position:
22.9 deg, d = 3.885 Å, rel. 100.0; 25.8 deg, d = 3.452 Å, rel. 91.6; 28.3 deg, d = 3.155 Å, rel. 88.6; 46.8 deg, d = 1.942 Å, rel. 30.1; 47.1 deg, d = 1.931 Å, rel. 41.1; 53.0 deg, d = 1.728 Å, rel. 32.4; 55.6 deg, d = 1.654 Å, rel. 23.6; 68.5 deg, d = 1.369 Å, rel. 22.2

Structural model:
Cell lengths 5.491, 5.491, 5.491 Å; angles 142.32, 102.10, 89.94 degrees
Fractional coordinates of all 7 atoms:
Fe1 0.000 0.000 0.000
Cu1 0.500 0.500 0.000
F1 0.174 0.500 0.674
F2 0.239 0.239 0.000
F3 0.500 0.000 0.500
F4 0.761 0.761 0.000
F5 0.826 0.500 0.326

For Rb2FeCuF6, DFT lattice parameters and positions (PBE+U) gives the simulated X-ray powder pattern in this record (λ = 1.5418 Å (Cu Kα)).
No peak broadening, texture or thermal motion is included.

Most intense lines, 10° ≤ 2θ ≤ 90°, sorted by position:
29.3 deg, d = 3.046 Å, rel. 100.0; 30.5 deg, d = 2.928 Å, rel. 44.0; 36.6 deg, d = 2.454 Å, rel. 19.7; 40.1 deg, d = 2.249 Å, rel. 24.7; 43.7 deg, d = 2.070 Å, rel. 39.8; 51.2 deg, d = 1.783 Å, rel. 18.6; 53.5 deg, d = 1.712 Å, rel. 36.0; 60.8 deg, d = 1.523 Å, rel. 25.6

Structural model:
Cell lengths 6.113, 6.113, 6.113 Å; angles 122.76, 122.76, 85.28 degrees
Fractional coordinates of all 10 atoms:
Rb1 0.250 0.750 0.500
Rb2 0.750 0.250 0.500
Fe1 0.000 0.000 0.000
Cu1 0.500 0.500 0.000
F1 0.218 0.218 0.000
F2 0.242 0.242 0.485
F3 0.242 0.758 0.000
F4 0.758 0.242 0.000
F5 0.758 0.758 0.515
F6 0.782 0.782 0.000

For TlFeCuF6, DFT lattice parameters and positions (PBE+U) gives the simulated X-ray powder pattern in this record (λ = 1.5418 Å (Cu Kα)).
No peak broadening, texture or thermal motion is included.

Most intense lines, 10° ≤ 2θ ≤ 90°, sorted by position:
18.5 deg, d = 4.786 Å, rel. 31.0; 23.6 deg, d = 3.766 Å, rel. 100.0; 24.2 deg, d = 3.675 Å, rel. 91.4; 24.6 deg, d = 3.622 Å, rel. 90.6; 31.9 deg, d = 2.806 Å, rel. 26.4; 33.4 deg, d = 2.683 Å, rel. 40.1; 40.3 deg, d = 2.238 Å, rel. 22.8; 46.0 deg, d = 1.973 Å, rel. 44.2

Structural model:
Cell lengths 5.374, 5.374, 5.915 Å; angles 90.88, 90.88, 117.01 degrees
Fractional coordinates of all 9 atoms:
Tl1 0.000 0.000 0.000
Fe1 0.337 0.663 0.500
Cu1 0.673 0.327 0.500
F1 0.013 0.373 0.662
F2 0.053 0.639 0.290
F3 0.361 0.947 0.710
F4 0.395 0.377 0.316
F5 0.623 0.605 0.684
F6 0.627 0.987 0.338